# 1
Structure and calculated X-ray diffraction stick pattern of La10Ga3Te3 (the GGA-PBE geometry in Alexandria; Cu Kα X-rays).
Neutral-atom scattering factors, no anomalous dispersion.

Structure:
Unit cell a=9.402 b=9.402 c=6.651 alpha=90.00 beta=90.00 gamma=120.00
Atoms (fractional coordinates):
1 La 0.000 0.252 0.000
2 La 0.000 0.748 0.500
3 La 0.252 0.000 0.000
4 La 0.252 0.252 0.500
5 La 0.333 0.667 0.253
6 La 0.333 0.667 0.747
7 La 0.667 0.333 0.253
8 La 0.667 0.333 0.747
9 La 0.748 0.000 0.500
10 La 0.748 0.748 0.000
11 Ga 0.000 0.614 0.000
12 Ga 0.386 0.386 0.000
13 Ga 0.614 0.000 0.000
14 Te 0.000 0.385 0.500
15 Te 0.385 0.000 0.500
16 Te 0.615 0.615 0.500

Main lines, by angle (10 to 90 degrees two-theta):
d (Å)	2θ/deg	Rel. int.
3.078	29.01	348
2.793	32.04	632
2.715	33.00	1000
1.919	47.36	167
1.799	50.76	283
1.463	63.62	155
1.428	65.33	121
1.418	65.88	133

---

# 2
Structure and calculated X-ray diffraction stick pattern of La2Th3Ga4 (the GGA-PBE geometry in Alexandria; Cu Kα X-rays).
Neutral-atom scattering factors, no anomalous dispersion.

Structure:
Unit cell a=8.186 b=8.208 c=7.817 alpha=90.00 beta=106.99 gamma=90.00
Atoms (fractional coordinates):
1 La 0.191 0.176 0.074
2 La 0.191 0.324 0.574
3 La 0.809 0.676 0.426
4 La 0.809 0.824 0.926
5 Th 0.243 0.680 0.251
6 Th 0.243 0.820 0.751
7 Th 0.500 0.000 0.500
8 Th 0.500 0.500 0.000
9 Th 0.757 0.180 0.249
10 Th 0.757 0.320 0.749
11 Ga 0.078 0.532 0.871
12 Ga 0.078 0.968 0.371
13 Ga 0.491 0.120 0.877
14 Ga 0.491 0.380 0.377
15 Ga 0.509 0.620 0.623
16 Ga 0.509 0.880 0.123
17 Ga 0.922 0.032 0.629
18 Ga 0.922 0.468 0.129

Main lines, by angle (10 to 90 degrees two-theta):
d (Å)	2θ/deg	Rel. int.
3.212	27.77	227
2.856	31.33	1000
2.833	31.59	479
2.569	34.92	280
2.515	35.70	285
2.483	36.18	520
1.745	52.42	238
1.713	53.50	196

---

# 3
Structure and calculated X-ray diffraction stick pattern of La6Tl5Ga (the GGA-PBE geometry in Alexandria; Cu Kα X-rays).
Neutral-atom scattering factors, no anomalous dispersion.

Structure:
Unit cell a=5.612 b=7.853 c=8.873 alpha=90.00 beta=108.29 gamma=90.00
Atoms (fractional coordinates):
1 La 0.000 0.240 0.000
2 La 0.000 0.760 0.000
3 La 0.337 0.245 0.678
4 La 0.337 0.755 0.678
5 La 0.663 0.245 0.322
6 La 0.663 0.755 0.322
7 Tl 0.172 0.500 0.338
8 Tl 0.173 0.000 0.341
9 Tl 0.500 0.500 0.000
10 Tl 0.827 0.000 0.659
11 Tl 0.828 0.500 0.662
12 Ga 0.500 0.000 0.000

Main lines, by angle (10 to 90 degrees two-theta):
d (Å)	2θ/deg	Rel. int.
2.807	31.88	507
2.792	32.06	1000
1.987	45.65	94
1.982	45.77	93
1.618	56.90	289
1.616	56.98	98
1.609	57.26	191
1.396	67.05	118

---

# 4
Structure and calculated X-ray diffraction stick pattern of La7Tl3Ga (the GGA-PBE geometry in Alexandria; Cu Kα X-rays).
Neutral-atom scattering factors, no anomalous dispersion.

Structure:
Unit cell a=8.370 b=8.370 c=8.370 alpha=138.14 beta=107.22 gamma=87.66
Atoms (fractional coordinates):
1 La 0.000 0.000 0.000
2 La 0.090 0.756 0.335
3 La 0.316 0.500 0.816
4 La 0.421 0.756 0.665
5 La 0.579 0.244 0.335
6 La 0.684 0.500 0.184
7 La 0.910 0.244 0.665
8 Tl 0.266 0.266 0.000
9 Tl 0.500 0.000 0.500
10 Tl 0.734 0.734 0.000
11 Ga 0.000 0.500 0.500

Main lines, by angle (10 to 90 degrees two-theta):
d (Å)	2θ/deg	Rel. int.
3.642	24.44	213
3.019	29.59	529
2.990	29.88	539
2.771	32.31	230
2.611	34.34	1000
2.124	42.55	396
1.653	55.61	227
1.643	55.96	249

---

# 5
Structure and calculated X-ray diffraction stick pattern of La2Tm3Ga4 (the GGA-PBE geometry in Alexandria; Cu Kα X-rays).
Neutral-atom scattering factors, no anomalous dispersion.

Structure:
Unit cell a=8.751 b=8.751 c=8.547 alpha=90.00 beta=90.00 gamma=133.78
Atoms (fractional coordinates):
1 La 0.108 0.892 0.922
2 La 0.392 0.608 0.422
3 La 0.608 0.392 0.578
4 La 0.892 0.108 0.078
5 Tm 0.000 0.000 0.500
6 Tm 0.033 0.467 0.750
7 Tm 0.467 0.033 0.250
8 Tm 0.500 0.500 0.000
9 Tm 0.533 0.967 0.750
10 Tm 0.967 0.533 0.250
11 Ga 0.184 0.816 0.541
12 Ga 0.212 0.288 0.750
13 Ga 0.288 0.212 0.250
14 Ga 0.316 0.684 0.041
15 Ga 0.684 0.316 0.959
16 Ga 0.712 0.788 0.750
17 Ga 0.788 0.712 0.250
18 Ga 0.816 0.184 0.459

Main lines, by angle (10 to 90 degrees two-theta):
d (Å)	2θ/deg	Rel. int.
3.780	23.54	343
2.963	30.16	388
2.759	32.45	697
2.686	33.36	347
2.677	33.47	1000
2.560	35.05	302
1.823	50.04	224
1.698	54.01	238

---

# 6
Structure and calculated X-ray diffraction stick pattern of LaUGa (the GGA-PBE geometry in Alexandria; Cu Kα X-rays).
Neutral-atom scattering factors, no anomalous dispersion.

Structure:
Unit cell a=11.219 b=11.155 c=3.792 alpha=81.19 beta=79.30 gamma=19.51
Atoms (fractional coordinates):
1 La 0.122 0.122 0.878
2 La 0.878 0.878 0.122
3 U 0.268 0.732 0.268
4 U 0.732 0.268 0.732
5 Ga 0.250 0.250 0.250
6 Ga 0.750 0.750 0.750

Main lines, by angle (10 to 90 degrees two-theta):
d (Å)	2θ/deg	Rel. int.
5.431	16.32	479
3.346	26.64	326
2.716	32.98	783
2.496	35.98	1000
2.479	36.24	493
1.858	49.02	572
1.782	51.26	324
1.673	54.87	311

---

# 7
Structure and calculated X-ray diffraction stick pattern of La4YGa5 (the GGA-PBE geometry in Alexandria; Cu Kα X-rays).
Neutral-atom scattering factors, no anomalous dispersion.

Structure:
Unit cell a=3.717 b=3.717 c=18.829 alpha=90.00 beta=90.00 gamma=90.00
Atoms (fractional coordinates):
1 La 0.000 0.000 0.102
2 La 0.000 0.000 0.307
3 La 0.000 0.000 0.693
4 La 0.000 0.000 0.898
5 Y 0.000 0.000 0.500
6 Ga 0.500 0.500 0.000
7 Ga 0.500 0.500 0.204
8 Ga 0.500 0.500 0.413
9 Ga 0.500 0.500 0.587
10 Ga 0.500 0.500 0.796

Main lines, by angle (10 to 90 degrees two-theta):
d (Å)	2θ/deg	Rel. int.
3.717	23.94	92
2.645	33.89	1000
2.628	34.11	510
1.883	48.34	83
1.858	49.02	181
1.531	60.48	165
1.521	60.92	359
1.323	71.30	99

---

# 8
Structure and calculated X-ray diffraction stick pattern of La3ZnGa (the GGA-PBE geometry in Alexandria; Cu Kα X-rays).
Neutral-atom scattering factors, no anomalous dispersion.

Structure:
Unit cell a=9.790 b=9.790 c=6.982 alpha=90.30 beta=90.30 gamma=58.53
Atoms (fractional coordinates):
1 La 0.096 0.215 0.502
2 La 0.188 0.688 0.999
3 La 0.215 0.096 0.002
4 La 0.285 0.404 0.495
5 La 0.312 0.812 0.501
6 La 0.404 0.285 0.995
7 La 0.596 0.715 0.005
8 La 0.688 0.188 0.499
9 La 0.715 0.596 0.505
10 La 0.785 0.904 0.998
11 La 0.812 0.312 0.001
12 La 0.904 0.785 0.498
13 Zn 0.002 0.500 0.818
14 Zn 0.500 0.002 0.318
15 Zn 0.500 0.998 0.682
16 Zn 0.998 0.500 0.182
17 Ga 0.000 0.000 0.250
18 Ga 0.000 0.000 0.750
19 Ga 0.500 0.500 0.250
20 Ga 0.500 0.500 0.750

Main lines, by angle (10 to 90 degrees two-theta):
d (Å)	2θ/deg	Rel. int.
3.491	25.52	431
2.928	30.53	422
2.916	30.66	426
2.861	31.27	1000
2.711	33.05	276
2.678	33.46	885
2.447	36.73	707
1.624	56.68	396